1.
Starting from DFT lattice parameters and positions (PBE), the powder diffractogram of Y2TmLu4Ni2Te2 was computed for Cu Kα (weighted mean of Kα1 and Kα2).
Kinematic intensities with the Lorentz-polarization factor, no thermal factor.

Structure:
Cell lengths 9.213, 9.213, 9.213 Å; angles 156.18, 67.27, 118.14 degrees
Fractional positions:
Y: 0.185 0.000 0.185
Y: 0.815 0.000 0.815
Tm: 0.876 0.376 0.500
Lu: 0.163 0.796 0.367
Lu: 0.430 0.796 0.633
Lu: 0.502 0.649 0.853
Lu: 0.796 0.649 0.147
Ni: 0.042 0.302 0.739
Ni: 0.563 0.302 0.261
Te: 0.145 0.145 0.000
Te: 0.540 0.040 0.500

Top 12 peaks for 5 to 70 degrees two-theta, low angle first:
2θ (°), d_spacing, I (rel.)
28.87, 3.092, 14
30.69, 2.913, 62
33.35, 2.686, 62
34.54, 2.597, 100
34.98, 2.565, 32
35.10, 2.557, 18
37.01, 2.429, 13
38.89, 2.316, 13
45.51, 1.993, 15
47.83, 1.902, 24
51.87, 1.763, 19
59.57, 1.552, 30


2.
Starting from DFT lattice parameters and positions (PBE), the powder diffractogram of Y2Tm3Lu2Ni2Te2 was computed for Cu Kα (weighted mean of Kα1 and Kα2).
Kinematic intensities with the Lorentz-polarization factor, no thermal factor.

Structure:
Cell lengths 9.257, 9.257, 9.257 Å; angles 156.15, 67.31, 118.11 degrees
Fractional positions:
Y: 0.132 0.000 0.132
Y: 0.868 0.000 0.868
Tm: 0.206 0.854 0.352
Tm: 0.502 0.854 0.648
Tm: 0.581 0.581 0.000
Lu: 0.516 0.201 0.315
Lu: 0.887 0.201 0.685
Ni: 0.277 0.511 0.765
Ni: 0.746 0.511 0.235
Te: 0.249 0.249 0.000
Te: 0.842 0.342 0.500

Top 12 peaks for 5 to 70 degrees two-theta, low angle first:
2θ (°), d_spacing, I (rel.)
10.92, 8.099, 21
29.10, 3.069, 50
30.52, 2.929, 83
33.18, 2.700, 93
34.35, 2.611, 100
34.79, 2.579, 46
34.93, 2.569, 30
36.80, 2.442, 40
38.67, 2.328, 31
47.53, 1.913, 33
51.62, 1.771, 36
59.18, 1.561, 43


3.
Starting from DFT lattice parameters and positions (PBE), the powder diffractogram of Y4TmLu2Ni2Te2 was computed for Cu Kα (weighted mean of Kα1 and Kα2).
Kinematic intensities with the Lorentz-polarization factor, no thermal factor.

Structure:
Cell lengths 9.275, 9.275, 9.275 Å; angles 156.11, 67.58, 117.84 degrees
Fractional positions:
Y: 0.132 0.000 0.132
Y: 0.206 0.853 0.354
Y: 0.499 0.853 0.646
Y: 0.868 0.000 0.868
Tm: 0.582 0.582 0.000
Lu: 0.517 0.202 0.315
Lu: 0.887 0.202 0.685
Ni: 0.282 0.518 0.764
Ni: 0.754 0.518 0.236
Te: 0.247 0.247 0.000
Te: 0.843 0.343 0.500

Top 12 peaks for 5 to 70 degrees two-theta, low angle first:
2θ (°), d_spacing, I (rel.)
24.98, 3.564, 26
29.03, 3.076, 42
30.42, 2.938, 92
33.03, 2.712, 96
34.27, 2.617, 100
34.66, 2.588, 69
34.92, 2.569, 31
36.61, 2.455, 41
38.49, 2.339, 34
47.34, 1.920, 36
51.49, 1.775, 31
58.95, 1.567, 42


4.
Starting from DFT lattice parameters and positions (PBE), the powder diffractogram of Y2Tm3Lu2Ni2Te2 was computed for Cu Kα (weighted mean of Kα1 and Kα2).
Kinematic intensities with the Lorentz-polarization factor, no thermal factor.

Structure:
Cell lengths 9.255, 9.255, 9.255 Å; angles 156.20, 67.34, 118.06 degrees
Fractional positions:
Y: 0.185 0.000 0.185
Y: 0.815 0.000 0.815
Tm: 0.164 0.797 0.367
Tm: 0.430 0.797 0.633
Tm: 0.876 0.376 0.500
Lu: 0.503 0.650 0.853
Lu: 0.797 0.650 0.147
Ni: 0.041 0.303 0.738
Ni: 0.564 0.303 0.262
Te: 0.144 0.144 0.000
Te: 0.542 0.042 0.500

Top 12 peaks for 5 to 70 degrees two-theta, low angle first:
2θ (°), d_spacing, I (rel.)
28.70, 3.110, 14
30.56, 2.926, 63
33.17, 2.701, 63
34.40, 2.607, 100
34.82, 2.576, 31
34.94, 2.568, 18
36.82, 2.441, 14
38.70, 2.327, 13
45.27, 2.003, 16
47.66, 1.908, 24
51.65, 1.770, 26
59.29, 1.559, 30


5.
Starting from DFT lattice parameters and positions (PBE), the powder diffractogram of Y2Tm4LuNi2Te2 was computed for Cu Kα (weighted mean of Kα1 and Kα2).
Kinematic intensities with the Lorentz-polarization factor, no thermal factor.

Structure:
Cell lengths 9.281, 9.281, 9.281 Å; angles 156.28, 67.19, 118.17 degrees
Fractional positions:
Y: 0.185 0.000 0.185
Y: 0.815 0.000 0.815
Tm: 0.164 0.797 0.367
Tm: 0.430 0.797 0.633
Tm: 0.504 0.650 0.854
Tm: 0.796 0.650 0.146
Lu: 0.876 0.376 0.500
Ni: 0.041 0.302 0.738
Ni: 0.564 0.302 0.262
Te: 0.144 0.144 0.000
Te: 0.541 0.041 0.500

Top 12 peaks for 5 to 70 degrees two-theta, low angle first:
2θ (°), d_spacing, I (rel.)
28.67, 3.114, 13
30.39, 2.942, 13
30.56, 2.925, 50
33.11, 2.706, 62
34.34, 2.611, 100
34.80, 2.578, 48
36.80, 2.442, 14
38.67, 2.329, 13
45.23, 2.005, 15
47.68, 1.907, 23
51.52, 1.774, 24
59.26, 1.559, 29


6.
Starting from DFT lattice parameters and positions (PBE), the powder diffractogram of Y2Tm4LuNi2Te2 was computed for Cu Kα (weighted mean of Kα1 and Kα2).
Kinematic intensities with the Lorentz-polarization factor, no thermal factor.

Structure:
Cell lengths 9.256, 9.256, 9.256 Å; angles 156.23, 67.28, 118.11 degrees
Fractional positions:
Y: 0.131 0.000 0.131
Y: 0.869 0.000 0.869
Tm: 0.207 0.854 0.353
Tm: 0.501 0.854 0.647
Tm: 0.516 0.201 0.315
Tm: 0.886 0.201 0.685
Lu: 0.580 0.580 0.000
Ni: 0.274 0.510 0.765
Ni: 0.745 0.510 0.235
Te: 0.248 0.248 0.000
Te: 0.843 0.343 0.500

Top 12 peaks for 5 to 70 degrees two-theta, low angle first:
2θ (°), d_spacing, I (rel.)
10.92, 8.099, 21
29.17, 3.062, 49
30.48, 2.933, 27
30.60, 2.922, 55
33.18, 2.700, 90
34.41, 2.607, 100
34.88, 2.572, 72
36.85, 2.439, 39
38.72, 2.325, 29
47.71, 1.906, 32
51.66, 1.769, 37
59.34, 1.557, 41


7.
Starting from DFT lattice parameters and positions (PBE), the powder diffractogram of YTm4Lu2Ni2Te2 was computed for Cu Kα (weighted mean of Kα1 and Kα2).
Kinematic intensities with the Lorentz-polarization factor, no thermal factor.

Structure:
Cell lengths 9.235, 9.235, 9.235 Å; angles 156.13, 67.03, 118.41 degrees
Fractional positions:
Y: 0.000 0.000 0.000
Tm: 0.285 0.418 0.867
Tm: 0.308 0.622 0.686
Tm: 0.552 0.418 0.133
Tm: 0.936 0.622 0.314
Lu: 0.622 0.270 0.352
Lu: 0.918 0.270 0.648
Ni: 0.166 0.928 0.238
Ni: 0.690 0.928 0.762
Te: 0.266 0.766 0.500
Te: 0.664 0.664 0.000

Top 12 peaks for 5 to 70 degrees two-theta, low angle first:
2θ (°), d_spacing, I (rel.)
25.14, 3.542, 26
29.14, 3.065, 19
30.53, 2.928, 18
30.64, 2.918, 44
33.36, 2.686, 83
34.41, 2.607, 100
34.91, 2.570, 83
36.98, 2.431, 20
38.84, 2.318, 21
45.51, 1.993, 17
47.61, 1.910, 29
59.37, 1.557, 32


8.
Starting from DFT lattice parameters and positions (PBE), the powder diffractogram of Y2Tm2Lu3Ni2Te2 was computed for Cu Kα (weighted mean of Kα1 and Kα2).
Kinematic intensities with the Lorentz-polarization factor, no thermal factor.

Structure:
Cell lengths 9.241, 9.241, 9.241 Å; angles 156.21, 67.51, 117.88 degrees
Fractional positions:
Y: 0.132 0.000 0.132
Y: 0.868 0.000 0.868
Tm: 0.516 0.201 0.314
Tm: 0.887 0.201 0.686
Lu: 0.208 0.854 0.354
Lu: 0.501 0.854 0.646
Lu: 0.579 0.579 0.000
Ni: 0.275 0.509 0.766
Ni: 0.743 0.509 0.234
Te: 0.248 0.248 0.000
Te: 0.842 0.342 0.500

Top 12 peaks for 5 to 70 degrees two-theta, low angle first:
2θ (°), d_spacing, I (rel.)
10.92, 8.103, 22
29.21, 3.057, 48
30.58, 2.923, 83
33.17, 2.701, 90
34.46, 2.602, 100
34.86, 2.574, 41
35.04, 2.561, 28
36.82, 2.441, 39
38.71, 2.326, 28
47.74, 1.905, 32
51.74, 1.767, 37
59.35, 1.557, 52